Record 1
YGeAu: calculated powder XRD pattern (CuKα), based on a PBE-relaxed structure.
No peak broadening, texture or thermal motion is included.

Structure:
abc: 4.4821 4.4821 7.3696
angles: 90.00 90.00 120.00
Atoms (fractional coordinates):
Y: 0.0000 0.0000 0.0000
Y: 0.0000 0.0000 0.5000
Ge: 0.3333 0.6667 0.2068
Ge: 0.6667 0.3333 0.7068
Au: 0.3333 0.6667 0.7867
Au: 0.6667 0.3333 0.2867

Principal peaks in the range 2θ from 10° to 80°, in order of falling intensity:
two_theta  I (rel.)
33.53  100
40.24  89
25.94  58
43.60  35
53.35  26
68.89  24


Record 2
Ho5Si3B: calculated powder XRD pattern (CuKα), based on a PBE-relaxed structure.
No peak broadening, texture or thermal motion is included.

Structure:
abc: 8.5049 8.5049 6.3005
angles: 90.00 90.00 120.00
Atoms (fractional coordinates):
Ho: 0.0000 0.2395 0.2500
Ho: 0.0000 0.7605 0.7500
Ho: 0.2395 0.0000 0.2500
Ho: 0.2395 0.2395 0.7500
Ho: 0.3333 0.6667 0.0000
Ho: 0.3333 0.6667 0.5000
Ho: 0.6667 0.3333 0.0000
Ho: 0.6667 0.3333 0.5000
Ho: 0.7605 0.0000 0.7500
Ho: 0.7605 0.7605 0.2500
Si: 0.0000 0.3993 0.7500
Si: 0.0000 0.6007 0.2500
Si: 0.3993 0.0000 0.7500
Si: 0.3993 0.3993 0.2500
Si: 0.6007 0.0000 0.2500
Si: 0.6007 0.6007 0.7500
B: 0.0000 0.0000 0.0000
B: 0.0000 0.0000 0.5000

Principal peaks in the range 2θ from 10° to 80°, in order of falling intensity:
two_theta  I (rel.)
35.25  100
35.46  89
32.15  52
30.87  50
25.27  47
36.60  36


Record 3
Li2CuSiO4: calculated powder XRD pattern (CuKα), based on a PBE-relaxed structure.
No peak broadening, texture or thermal motion is included.

Structure:
abc: 10.8065 4.9673 6.3311
angles: 90.00 90.00 90.00
Atoms (fractional coordinates):
Li: 0.0902 0.2059 0.0000
Li: 0.1654 0.7040 0.2479
Li: 0.3346 0.2040 0.7479
Li: 0.4098 0.7059 0.5000
Li: 0.5902 0.2941 0.0000
Li: 0.6654 0.7960 0.2479
Li: 0.8346 0.2960 0.7479
Li: 0.9098 0.7941 0.5000
Cu: 0.0847 0.2145 0.5004
Cu: 0.4153 0.7145 0.0004
Cu: 0.5847 0.2855 0.5004
Cu: 0.9153 0.7855 0.0004
Si: 0.1667 0.6962 0.7456
Si: 0.3333 0.1962 0.2456
Si: 0.6667 0.8038 0.7456
Si: 0.8333 0.3038 0.2456
O: 0.0935 0.7978 0.5311
O: 0.0944 0.8026 0.9598
O: 0.1683 0.3635 0.7468
O: 0.1887 0.3083 0.2490
O: 0.3113 0.8083 0.7490
O: 0.3317 0.8635 0.2468
O: 0.4065 0.2978 0.0311
O: 0.4056 0.3026 0.4598
O: 0.5944 0.6974 0.9598
O: 0.5935 0.7022 0.5311
O: 0.6683 0.1365 0.7468
O: 0.6887 0.1917 0.2490
O: 0.8113 0.6917 0.7490
O: 0.8317 0.6365 0.2468
O: 0.9056 0.1974 0.4598
O: 0.9065 0.2022 0.0311

Principal peaks in the range 2θ from 10° to 80°, in order of falling intensity:
two_theta  I (rel.)
22.75  100
21.62  97
36.16  74
32.79  58
28.18  35
59.01  32


Record 4
EuZrS3: calculated powder XRD pattern (CuKα), based on a PBE-relaxed structure.
No peak broadening, texture or thermal motion is included.

Structure:
abc: 7.1266 9.7904 6.7383
angles: 90.00 90.00 90.00
Atoms (fractional coordinates):
Eu: 0.0864 0.2500 0.0266
Eu: 0.4136 0.7500 0.5266
Eu: 0.5864 0.2500 0.4734
Eu: 0.9136 0.7500 0.9734
Zr: 0.0000 0.0000 0.5000
Zr: 0.0000 0.5000 0.5000
Zr: 0.5000 0.0000 0.0000
Zr: 0.5000 0.5000 0.0000
S: 0.0255 0.7500 0.3944
S: 0.1916 0.5555 0.8134
S: 0.1916 0.9445 0.8134
S: 0.3084 0.0555 0.3134
S: 0.3084 0.4445 0.3134
S: 0.4745 0.2500 0.8944
S: 0.5255 0.7500 0.1056
S: 0.6916 0.5555 0.6866
S: 0.6916 0.9445 0.6866
S: 0.8084 0.0555 0.1866
S: 0.8084 0.4445 0.1866
S: 0.9745 0.2500 0.6056

Principal peaks in the range 2θ from 10° to 80°, in order of falling intensity:
two_theta  I (rel.)
25.73  100
36.71  46
46.26  32
20.28  27
26.45  26
41.34  22


Record 5
MgAg2Br2O8: calculated powder XRD pattern (CuKα), based on a PBE-relaxed structure.
No peak broadening, texture or thermal motion is included.

Structure:
abc: 8.2407 8.2407 5.4253
angles: 105.08 105.08 126.02
Atoms (fractional coordinates):
Mg: 0.0000 0.0000 0.0000
Ag: 0.2215 0.7785 0.0000
Ag: 0.5949 0.4051 0.5000
Br: 0.0829 0.9171 0.5000
Br: 0.8027 0.1973 0.0000
O: 0.0388 0.2887 0.2803
O: 0.1932 0.1621 0.7965
O: 0.2632 0.0765 0.3276
O: 0.5894 0.1162 0.0726
O: 0.7113 0.9612 0.7197
O: 0.8379 0.8068 0.2035
O: 0.8838 0.4106 0.9274
O: 0.9235 0.7368 0.6724

Principal peaks in the range 2θ from 10° to 80°, in order of falling intensity:
two_theta  I (rel.)
23.39  100
12.05  74
31.61  70
26.97  62
29.14  35
33.60  28


Record 6
Nd2Co7: calculated powder XRD pattern (CuKα), based on a PBE-relaxed structure.
No peak broadening, texture or thermal motion is included.

Structure:
abc: 5.0556 5.0556 24.4801
angles: 90.00 90.00 120.00
Atoms (fractional coordinates):
Nd: 0.3333 0.6667 0.0277
Nd: 0.3333 0.6667 0.1732
Nd: 0.3333 0.6667 0.3268
Nd: 0.3333 0.6667 0.4723
Nd: 0.6667 0.3333 0.5277
Nd: 0.6667 0.3333 0.6732
Nd: 0.6667 0.3333 0.8268
Nd: 0.6667 0.3333 0.9723
Co: 0.0000 0.0000 0.0000
Co: 0.0000 0.0000 0.1683
Co: 0.0000 0.0000 0.3317
Co: 0.0000 0.0000 0.5000
Co: 0.0000 0.0000 0.6683
Co: 0.0000 0.0000 0.8317
Co: 0.1657 0.3313 0.5886
Co: 0.1657 0.3313 0.9114
Co: 0.1657 0.8343 0.5886
Co: 0.1657 0.8343 0.9114
Co: 0.1665 0.3330 0.7500
Co: 0.1665 0.8335 0.7500
Co: 0.3313 0.1657 0.0886
Co: 0.3313 0.1657 0.4114
Co: 0.3330 0.1665 0.2500
Co: 0.3333 0.6667 0.6683
Co: 0.3333 0.6667 0.8317
Co: 0.6667 0.3333 0.1683
Co: 0.6667 0.3333 0.3317
Co: 0.6670 0.8335 0.7500
Co: 0.6687 0.8343 0.5886
Co: 0.6687 0.8343 0.9114
Co: 0.8335 0.1665 0.2500
Co: 0.8335 0.6670 0.2500
Co: 0.8343 0.1657 0.0886
Co: 0.8343 0.1657 0.4114
Co: 0.8343 0.6687 0.0886
Co: 0.8343 0.6687 0.4114

Principal peaks in the range 2θ from 10° to 80°, in order of falling intensity:
two_theta  I (rel.)
42.05  100
32.78  61
35.51  47
41.41  31
68.25  22
75.17  20